No. 1
Calculated powder diffractogram
Compound: TiAsPd4
Radiation: a wavelength of 1.5418 Å
Structure: a GGA-PBE-relaxed structure

Structural model:
abc: 6.470 6.417 5.248
angles: 90.00 90.19 90.00
Space group P2_1/c (No. 14)
One atom of each set of equivalent atoms:
Ti  0.000  0.000  0.000 x2
As  0.500  0.000  0.500 x2
Pd  0.152  0.142  0.499 x4
Pd  0.259  0.749  0.250 x4

Top 6 peaks for 2θ from 10° to 90°, sorted by position:
2θ/deg  I_rel  h k l
21.88  51  0 1 1
35.61  32  1 2 -1
39.58  100  2 2 0
39.68  49  1 1 2
44.33  29  2 0 -2
44.60  59  1 3 0

***

No. 2
Calculated powder diffractogram
Compound: Dy6Mg2Hg
Radiation: a wavelength of 1.5418 Å
Structure: a GGA-PBE-relaxed structure

Structural model:
abc: 6.257 9.438 10.168
angles: 90.00 117.21 90.00
Space group P2_1/c (No. 14)
One atom of each set of equivalent atoms:
Dy  0.063  0.168  0.465 x4
Dy  0.357  0.692  0.432 x4
Dy  0.430  0.039  0.310 x4
Mg  0.140  0.102  0.775 x4
Hg  0.000  0.000  0.000 x2

Top 6 peaks for 2θ from 10° to 90°, sorted by position:
2θ/deg  I_rel  h k l
19.63  35  0 0 2
26.71  34  1 2 -2
30.52  48  2 1 -2
30.65  51  1 0 2
31.94  100  1 3 -1
33.70  39  2 1 -3

***

No. 3
Calculated powder diffractogram
Compound: Cs5Sm2Cl12
Radiation: a wavelength of 1.5418 Å
Structure: a GGA-PBE-relaxed structure

Structural model:
abc: 16.703 10.476 8.495
angles: 90.00 99.41 90.00
Space group C2/m (No. 12)
One atom of each set of equivalent atoms:
Cs  0.000  0.000  0.000 x2
Cs  0.143  0.500  0.033 x4
Cs  0.247  0.000  0.464 x4
Sm  0.000  0.227  0.500 x4
Cl  0.040  0.500  0.383 x4
Cl  0.075  0.000  0.643 x4
Cl  0.102  0.211  0.274 x8
Cl  0.132  0.298  0.721 x8

Top 6 peaks for 2θ from 10° to 90°, sorted by position:
2θ/deg  I_rel  h k l
10.56  78  0 0 1
20.04  97  2 2 0
21.90  89  2 2 -1
22.43  100  4 0 -1
23.56  62  2 2 1
33.10  74  3 3 1

***

No. 4
Calculated powder diffractogram
Compound: Dy6SnS5
Radiation: a wavelength of 1.5418 Å
Structure: a GGA-PBE-relaxed structure

Structural model:
abc: 6.916 11.980 6.943
angles: 90.00 109.44 90.00
Space group C2/m (No. 12)
One atom of each set of equivalent atoms:
Dy  0.239  0.000  0.258 x4
Dy  0.240  0.173  0.739 x8
Sn  0.000  0.500  0.000 x2
S  0.000  0.000  0.500 x2
S  0.000  0.168  0.000 x4
S  0.000  0.338  0.500 x4

Top 6 peaks for 2θ from 10° to 90°, sorted by position:
2θ/deg  I_rel  h k l
27.31  41  1 3 -1
31.65  100  2 0 -2
45.30  36  1 3 -3
45.43  36  0 6 0
53.80  19  3 3 -3
56.42  18  2 6 -2

***

No. 5
Calculated powder diffractogram
Compound: NdSmTeN
Radiation: a wavelength of 1.5418 Å
Structure: a GGA-PBE-relaxed structure

Structural model:
abc: 3.837 3.871 13.527
angles: 90.00 90.00 90.00
Space group Imm2 (No. 44)
One atom of each set of equivalent atoms:
Nd  0.000  0.000  0.000 x2
Sm  0.000  0.000  0.300 x2
Te  0.000  0.000  0.652 x2
N  0.000  0.500  0.899 x2

Top 6 peaks for 2θ from 10° to 90°, sorted by position:
2θ/deg  I_rel  h k l
30.44  100  0 1 3
30.60  98  1 0 3
32.87  82  1 1 0
52.70  36  1 1 6
57.08  33  1 2 3
57.37  33  2 1 3

***

No. 6
Calculated powder diffractogram
Compound: Sm4Tm5In2
Radiation: a wavelength of 1.5418 Å
Structure: a GGA-PBE-relaxed structure

Structural model:
abc: 5.2187 5.2187 46.5351
angles: 90.00 90.00 120.00
Space group R-3m (No. 166, hexagonal axes)
One atom of each set of equivalent atoms:
Sm  0.0000  0.0000  0.0727 x6
Sm  0.0000  0.0000  0.2258 x6
Tm  0.0000  0.0000  0.0000 x3
Tm  0.0000  0.0000  0.1482 x6
Tm  0.0000  0.0000  0.3031 x6
In  0.0000  0.0000  0.3774 x6

Top 6 peaks for 2θ from 10° to 90°, sorted by position:
2θ/deg  I_rel  h k l
19.74  23  1 0 1
31.89  100  1 0 13
33.46  30  0 1 14
34.37  98  1 1 0
47.59  33  0 2 13
60.01  33  2 1 13

***

No. 7
Calculated powder diffractogram
Compound: Cs3ZrIr
Radiation: a wavelength of 1.5418 Å
Structure: a GGA-PBE-relaxed structure

Structural model:
abc: 6.393 6.393 6.393
angles: 90.00 90.00 90.00
Space group Pm-3m (No. 221)
One atom of each set of equivalent atoms:
Cs  0.000  0.000  0.500 x3
Zr  0.500  0.500  0.500 x1
Ir  0.000  0.000  0.000 x1

Top 6 peaks for 2θ from 10° to 90°, sorted by position:
2θ/deg  I_rel  h k l
13.85  56  1 0 0
24.11  38  1 1 1
27.91  100  2 0 0
31.28  33  2 1 0
39.88  76  2 2 0
65.27  36  4 2 0

***

No. 8
Calculated powder diffractogram
Compound: ZnGe2HO6
Radiation: a wavelength of 1.5418 Å
Structure: a GGA-PBE-relaxed structure

Structural model:
abc: 10.328 11.819 5.082
angles: 90.00 108.10 90.00
Space group C2/c (No. 15)
One atom of each set of equivalent atoms:
Zn  0.000  0.247  0.250 x4
Ge  0.221  0.418  0.648 x8
H  0.000  0.342  0.750 x4
O  0.067  0.342  0.592 x8
O  0.142  0.165  0.166 x8
O  0.224  0.448  0.307 x8

Top 6 peaks for 2θ from 10° to 90°, sorted by position:
2θ/deg  I_rel  h k l
18.07  22  2 0 0
19.30  60  1 1 -1
23.56  100  2 2 0
23.79  55  0 2 1
26.25  42  2 2 -1
32.37  51  1 3 1

***

No. 9
Calculated powder diffractogram
Compound: NaMg2InS4
Radiation: a wavelength of 1.5418 Å
Structure: a GGA-PBE-relaxed structure

Structural model:
abc: 8.455 7.132 6.683
angles: 90.00 90.00 90.00
Space group Pmn2_1 (No. 31)
One atom of each set of equivalent atoms:
Na  0.000  0.164  0.000 x2
Mg  0.247  0.333  0.504 x4
In  0.000  0.821  0.507 x2
S  0.000  0.161  0.415 x2
S  0.000  0.798  0.880 x2
S  0.235  0.655  0.373 x4

Top 6 peaks for 2θ from 10° to 90°, sorted by position:
2θ/deg  I_rel  h k l
16.26  90  1 1 0
16.91  100  1 0 1
24.48  98  2 1 0
26.68  94  0 0 2
27.93  80  2 1 1
47.89  79  2 1 3

***

No. 10
Calculated powder diffractogram
Compound: Hf2InCu3
Radiation: a wavelength of 1.5418 Å
Structure: a GGA-PBE-relaxed structure

Structural model:
abc: 4.484 13.515 3.397
angles: 90.00 90.00 90.00
Space group Pmmn (No. 59, origin choice 2)
One atom of each set of equivalent atoms:
Hf  0.250  0.087  0.000 x4
In  0.250  0.750  0.001 x2
Cu  0.250  0.250  0.499 x2
Cu  0.250  0.570  0.500 x4

Top 6 peaks for 2θ from 10° to 90°, sorted by position:
2θ/deg  I_rel  h k l
28.08  18  1 3 0
38.80  100  1 3 1
40.03  22  0 6 0
40.22  23  2 0 0
58.04  14  2 6 0
72.15  15  3 3 1

***

No. 11
Calculated powder diffractogram
Compound: Nb5Ni2Ir5
Radiation: a wavelength of 1.5418 Å
Structure: a GGA-PBE-relaxed structure

Structural model:
abc: 7.438 7.438 7.648
angles: 90.00 90.00 90.00
Space group I4mm (No. 107)
One atom of each set of equivalent atoms:
Nb  0.000  0.000  0.000 x2
Nb  0.213  0.213  0.509 x8
Ni  0.000  0.500  0.040 x4
Ir  0.000  0.000  0.335 x2
Ir  0.000  0.280  0.791 x8

Top 6 peaks for 2θ from 10° to 90°, sorted by position:
2θ/deg  I_rel  h k l
29.28  100  2 1 1
38.16  23  3 0 1
41.68  67  2 2 2
44.79  49  2 1 3
48.99  31  4 0 0
78.82  23  5 2 3